YHoZr2P2: calculated XRD peak list (CuKα), based on DFT lattice parameters and positions (PBE).
Kinematic intensities with the Lorentz-polarization factor, no thermal factor.

Main lines, sorted by position (2θ from 10° to 90°):
- 2θ 22.9, I = 22
- 2θ 28.2, I = 50
- 2θ 33.6, I = 100
- 2θ 34.7, I = 34
- 2θ 36.6, I = 35
- 2θ 39.4, I = 50
- 2θ 45.2, I = 43
- 2θ 57.6, I = 22
- 2θ 58.2, I = 38
- 2θ 76.7, I = 21

Crystal structure
```
data_YHoZr2P2
_cell_length_a 8.2542
_cell_length_b 8.2542
_cell_length_c 8.2542
_cell_angle_alpha 151.87
_cell_angle_beta 151.87
_cell_angle_gamma 40.20
_space_group_name_H-M_alt 'P 1'
_space_group_IT_number 1
_space_group_name_Hall 'P 1'
loop_
_atom_site_label
_atom_site_type_symbol
_atom_site_fract_x
_atom_site_fract_y
_atom_site_fract_z
Y1 Y 0.0000 0.0000 0.0000
Ho1 Ho 0.3570 0.3570 0.0000
Zr1 Zr 0.1790 0.6790 0.5000
Zr2 Zr 0.6790 0.1790 0.5000
P1 P 0.5473 0.5473 0.0000
P2 P 0.8103 0.8103 0.0000
```